1.
The following is a theoretical X-ray powder pattern of LaSmDy2Tm2. It was derived from a PBE-relaxed structure, using Cu Kα (weighted mean of Kα1 and Kα2).

Top 12 peaks for 2θ from 5° to 70°, most intense first:
hkl, two_theta, intensity
0 3 1, 30.24, 100
2 2 0, 29.13, 98
0 6 0, 29.76, 77
2 3 1, 41.22, 65
2 4 0, 33.94, 53
1 6 0, 32.85, 42
1 4 1, 35.87, 41
0 1 1, 26.71, 34
1 9 1, 55.10, 33
1 2 1, 31.31, 32
1 8 0, 42.50, 27
2 2 2, 62.53, 26

Atomic structure:
```
data_LaSmDy2Tm2
_space_group_name_H-M_alt 'P n n m'
_space_group_IT_number 58
_cell_length_a 6.522
_cell_length_b 18.010
_cell_length_c 3.396
_cell_angle_alpha 90.00
_cell_angle_beta 90.00
_cell_angle_gamma 90.00
loop_
_space_group_symop_operation_xyz
'x,y,z'
'-x,-y,-z'
'-x,-y,z'
'x,y,-z'
'x+1/2,-y+1/2,-z+1/2'
'-x+1/2,y+1/2,z+1/2'
'-x+1/2,y+1/2,-z+1/2'
'x+1/2,-y+1/2,z+1/2'
loop_
_atom_site_label
_atom_site_type_symbol
_atom_site_fract_x
_atom_site_fract_y
_atom_site_fract_z
La1 La 0.000 0.000 0.000
Sm1 Sm 0.000 0.500 0.000
Dy1 Dy 0.215 0.190 0.000
Tm1 Tm 0.214 0.352 0.500
```

=====

2.
The following is a theoretical X-ray powder pattern of La2Pr5DyTh. It was derived from a PBE-relaxed structure, using Cu Kα (weighted mean of Kα1 and Kα2).

Top 12 peaks for 2θ from 5° to 70°, most intense first:
hkl, two_theta, intensity
1 5 2, 30.77, 100
2 0 0, 32.32, 45
0 0 4, 33.83, 18
3 5 2, 56.64, 18
1 1 3, 30.26, 17
2 0 4, 47.47, 15
1 3 2, 26.17, 14
1 5 6, 58.62, 9
0 2 1, 11.52, 9
1 13 2, 58.99, 8
0 8 0, 32.11, 8
0 8 1, 33.23, 7

Atomic structure:
```
data_La2Pr5DyTh
_space_group_name_H-M_alt 'C m c m'
_space_group_IT_number 63
_space_group_name_Hall '-C 2c 2'
_cell_length_a 5.544
_cell_length_b 22.303
_cell_length_c 10.599
_cell_angle_alpha 90.00
_cell_angle_beta 90.00
_cell_angle_gamma 90.00
loop_
_atom_site_label
_atom_site_type_symbol
_atom_site_fract_x
_atom_site_fract_y
_atom_site_fract_z
La1 La 0.000 0.113 0.002
Pr1 Pr 0.000 0.000 0.250
Pr2 Pr 0.000 0.276 0.559
Pr3 Pr 0.000 0.371 0.250
Pr4 Pr 0.000 0.500 0.000
Dy1 Dy 0.000 0.397 0.750
Th1 Th 0.000 0.210 0.250
```

=====

3.
The following is a theoretical X-ray powder pattern of Li2SmI4. It was derived from a PBE-relaxed structure, using Cu Kα (weighted mean of Kα1 and Kα2).

Top 12 peaks for 2θ from 5° to 70°, most intense first:
hkl, two_theta, intensity
2 1 1, 25.86, 100
0 0 2, 23.23, 45
1 0 1, 15.47, 33
3 1 2, 40.60, 32
1 4 1, 44.90, 27
3 1 0, 32.83, 26
2 1 3, 42.46, 26
5 2 1, 58.91, 19
1 4 3, 56.89, 13
2 2 0, 29.28, 11
2 2 2, 37.70, 10
5 3 2, 67.91, 9

Atomic structure:
```
data_Li2SmI4
_space_group_name_H-M_alt 'I 4/m'
_space_group_IT_number 87
_space_group_name_Hall '-I 4'
_cell_length_a 8.628
_cell_length_b 8.628
_cell_length_c 7.659
_cell_angle_alpha 90.00
_cell_angle_beta 90.00
_cell_angle_gamma 90.00
loop_
_atom_site_label
_atom_site_type_symbol
_atom_site_fract_x
_atom_site_fract_y
_atom_site_fract_z
Li1 Li 0.000 0.500 0.250
Sm1 Sm 0.000 0.000 0.000
I1 I 0.162 0.678 0.000
```

=====

4.
The following is a theoretical X-ray powder pattern of Cd9In3Ag2. It was derived from a PBE-relaxed structure, using Cu Kα (weighted mean of Kα1 and Kα2).

Top 12 peaks for 2θ from 5° to 70°, most intense first:
hkl, two_theta, intensity
1 4 1, 37.91, 100
1 2 3, 32.91, 84
0 2 4, 33.69, 78
2 0 0, 36.57, 73
1 1 4, 35.74, 60
1 3 0, 30.19, 39
1 4 7, 66.39, 35
2 2 4, 50.56, 28
1 3 4, 42.70, 26
3 4 1, 66.70, 17
0 5 3, 46.60, 14
2 5 3, 60.64, 12

Atomic structure:
```
data_Cd9In3Ag2
_space_group_name_H-M_alt 'I m m m'
_space_group_IT_number 71
_space_group_name_Hall '-I 2 2'
_cell_length_a 4.915
_cell_length_b 11.125
_cell_length_c 12.118
_cell_angle_alpha 90.00
_cell_angle_beta 90.00
_cell_angle_gamma 90.00
loop_
_atom_site_label
_atom_site_type_symbol
_atom_site_fract_x
_atom_site_fract_y
_atom_site_fract_z
Cd1 Cd 0.000 0.000 0.000
Cd2 Cd 0.000 0.132 0.370
Cd3 Cd 0.000 0.221 0.140
In1 In 0.000 0.500 0.000
In2 In 0.000 0.500 0.279
Ag1 Ag 0.000 0.359 0.500
```

=====

5.
The following is a theoretical X-ray powder pattern of Gd6Tm. It was derived from a PBE-relaxed structure, using Cu Kα (weighted mean of Kα1 and Kα2).

Top 12 peaks for 2θ from 5° to 70°, most intense first:
hkl, two_theta, intensity
2 1 1, 27.44, 100
3 2 1, 42.49, 62
2 0 0, 22.34, 42
4 0 0, 45.58, 33
2 2 2, 39.20, 33
4 4 0, 66.43, 22
5 2 1, 64.07, 18
4 2 0, 51.33, 18
1 1 0, 15.74, 17
3 3 2, 54.03, 15
3 1 0, 35.66, 4
5 1 0, 59.18, 3

Atomic structure:
```
data_Gd6Tm
_space_group_name_H-M_alt 'I m -3 m'
_space_group_IT_number 229
_space_group_name_Hall '-I 4 2 3'
_cell_length_a 7.961
_cell_length_b 7.961
_cell_length_c 7.961
_cell_angle_alpha 90.00
_cell_angle_beta 90.00
_cell_angle_gamma 90.00
loop_
_atom_site_label
_atom_site_type_symbol
_atom_site_fract_x
_atom_site_fract_y
_atom_site_fract_z
Gd1 Gd 0.000 0.250 0.500
Tm1 Tm 0.000 0.000 0.000
```